[1]
Computed XRD peak list of AcCu2Br8 for Cu Kα (λ = 1.5418 Å), from a GGA-PBE-relaxed structure.
Peak positions follow from Bragg's law for the DFT cell and can differ from measured ones.

Structure:
Cell: 8.215 8.215 8.215 Å, 126.67 126.67 78.79°
Fractional coordinates of all 11 atoms:
Ac: 0.000 0.000 0.000
Cu: 0.250 0.750 0.500
Cu: 0.750 0.250 0.500
Br: 0.052 0.545 0.836
Br: 0.216 0.052 0.507
Br: 0.291 0.455 0.507
Br: 0.455 0.948 0.164
Br: 0.545 0.709 0.493
Br: 0.709 0.216 0.164
Br: 0.784 0.291 0.836
Br: 0.948 0.784 0.493

Most intense lines, 2θ from 15° to 90°, in order of falling intensity:
2θ 27.96, 3.192 Å, rel. 100; 2θ 34.46, 2.603 Å, rel. 89; 2θ 37.39, 2.405 Å, rel. 73; 2θ 22.06, 4.029 Å, rel. 64; 2θ 41.25, 2.189 Å, rel. 31; 2θ 55.79, 1.648 Å, rel. 29; 2θ 58.06, 1.589 Å, rel. 26; 2θ 45.05, 2.012 Å, rel. 22; 2θ 24.25, 3.671 Å, rel. 22; 2θ 38.61, 2.332 Å, rel. 20

---

[2]
Computed XRD peak list of MnNb2AsIr for Cu Kα (λ = 1.5418 Å), from a GGA-PBE-relaxed structure.
Peak positions follow from Bragg's law for the DFT cell and can differ from measured ones.

Structure:
Cell: 4.594 4.594 4.470 Å, 90.00 90.00 90.00°
Fractional coordinates of all 5 atoms:
Mn: 0.000 0.000 0.000
Nb: 0.000 0.500 0.000
Nb: 0.500 0.000 0.000
As: 0.500 0.500 0.500
Ir: 0.000 0.000 0.500

Most intense lines, 2θ from 15° to 90°, in order of falling intensity:
2θ 34.12, 2.628 Å, rel. 100; 2θ 39.22, 2.297 Å, rel. 56; 2θ 57.54, 1.602 Å, rel. 36; 2θ 19.32, 4.594 Å, rel. 36; 2θ 67.83, 1.382 Å, rel. 27; 2θ 40.36, 2.235 Å, rel. 26; 2θ 56.67, 1.624 Å, rel. 19; 2θ 71.85, 1.314 Å, rel. 18; 2θ 69.39, 1.354 Å, rel. 13; 2θ 27.46, 3.249 Å, rel. 9

---

[3]
Computed XRD peak list of La2Pm4Dy2Y for Cu Kα (λ = 1.5418 Å), from a GGA-PBE-relaxed structure.
Peak positions follow from Bragg's law for the DFT cell and can differ from measured ones.

Structure:
Cell: 9.698 9.698 9.749 Å, 115.24 115.24 21.86°
Fractional coordinates of all 9 atoms:
La: 0.166 0.166 0.498
La: 0.834 0.834 0.502
Pm: 0.019 0.019 0.837
Pm: 0.314 0.314 0.165
Pm: 0.686 0.686 0.835
Pm: 0.981 0.981 0.163
Dy: 0.352 0.352 0.834
Dy: 0.648 0.648 0.166
Y: 0.500 0.500 0.500

Most intense lines, 2θ from 15° to 90°, in order of falling intensity:
2θ 31.24, 2.863 Å, rel. 100; 2θ 32.90, 2.722 Å, rel. 91; 2θ 30.54, 2.927 Å, rel. 52; 2θ 28.27, 3.157 Å, rel. 33; 2θ 59.47, 1.554 Å, rel. 31; 2θ 49.71, 1.834 Å, rel. 27; 2θ 28.89, 3.091 Å, rel. 26; 2θ 53.63, 1.709 Å, rel. 21; 2θ 56.86, 1.619 Å, rel. 20; 2θ 59.35, 1.557 Å, rel. 16